Theoretical X-ray powder pattern of KVCuO4 for Cu Kα (weighted mean of Kα1 and Kα2), from the GGA+U geometry in Alexandria.
Neutral-atom scattering factors, no anomalous dispersion.

Cell: 5.258 5.677 8.141 Å, 90.00 102.58 90.00°
Space group P2_1/m (No. 11)
Unique sites:
K1 0.073 0.250 0.189 (multiplicity 2)
V1 0.276 0.250 0.704 (multiplicity 2)
Cu1 0.402 0.750 0.496 (multiplicity 2)
O1 0.005 0.750 0.446 (multiplicity 2)
O2 0.204 0.250 0.896 (multiplicity 2)
O3 0.482 0.008 0.665 (multiplicity 4)

The 10 most intense peaks (10° ≤ 2θ ≤ 80°), sorted by position:
| 2θ (°) | d_spacing | I (rel.) |
| --- | --- | --- |
| 11.1 | 7.946 | 100 |
| 22.6 | 3.938 | 37 |
| 27.6 | 3.236 | 21 |
| 29.8 | 3.002 | 32 |
| 31.5 | 2.839 | 28 |
| 37.9 | 2.374 | 15 |
| 38.1 | 2.360 | 10 |
| 39.1 | 2.302 | 12 |
| 56.1 | 1.638 | 14 |
| 57.5 | 1.602 | 10 |